For Tm2As7Rh12, a PBE-relaxed structure gives the simulated powder XRD pattern in this record (a wavelength of 1.5418 Å).
Neutral-atom scattering factors, no anomalous dispersion.

Cell and atoms:
```
Tm2As7Rh12
1.0
9.9822 0.0000 0.0000
-4.9911 8.6448 0.0000
0.0000 0.0000 3.8956
Tm As Rh
2 7 12
Direct
0.3333 0.6667 0.2485 Tm
0.6667 0.3333 0.7515 Tm
0.0000 0.0000 0.5000 As
0.1183 0.4061 0.7507 As
0.2878 0.8817 0.7507 As
0.4061 0.2878 0.2493 As
0.5939 0.7122 0.7507 As
0.7122 0.1183 0.2493 As
0.8817 0.5939 0.2493 As
0.0685 0.6188 0.7499 Rh
0.1151 0.8512 0.2476 Rh
0.1488 0.2638 0.2476 Rh
0.2638 0.1151 0.7524 Rh
0.3812 0.4497 0.7499 Rh
0.4497 0.0685 0.2501 Rh
0.5503 0.9315 0.7499 Rh
0.6188 0.5503 0.2501 Rh
0.7362 0.8849 0.2476 Rh
0.8512 0.7362 0.7524 Rh
0.8849 0.1488 0.7524 Rh
0.9315 0.3812 0.2501 Rh
```

Top 10 peaks for 10° ≤ 2θ ≤ 90°, in order of falling intensity:
2θ = 35.9°, intensity 1000, hkl 3 -1 1; 2θ = 48.2°, intensity 314, hkl 4 1 0; 2θ = 46.6°, intensity 171, hkl 0 0 2; 2θ = 69.3°, intensity 139, hkl 5 -4 2; 2θ = 44.4°, intensity 132, hkl 3 1 1; 2θ = 36.0°, intensity 100, hkl 2 2 0; 2θ = 79.4°, intensity 97, hkl 1 2 3; 2θ = 81.8°, intensity 89, hkl 8 -3 1; 2θ = 38.9°, intensity 72, hkl 3 0 1; 2θ = 45.7°, intensity 69, hkl 2 3 0